VPO5: simulated powder X-ray diffraction pattern (Cu Kα, 1.54184 Å), based on a DFT-relaxed cell (PBE+U, Alexandria).

Crystal structure
abc: 5.118 10.517 7.429
angles: 90.00 116.64 90.00
Space group P2_1/c (No. 14)
Unique sites:
V 0.019 0.065 0.174 (multiplicity 4)
P 0.300 0.654 0.034 (multiplicity 4)
O 0.154 0.715 0.467 (multiplicity 4)
O 0.164 0.589 0.160 (multiplicity 4)
O 0.222 0.038 0.006 (multiplicity 4)
O 0.235 0.573 0.846 (multiplicity 4)
O 0.371 0.172 0.341 (multiplicity 4)

Principal peaks in the range 10° ≤ 2θ ≤ 90°, low angle first:
2θ/deg  d [Å]  I/Imax
19.4  4.575  57
19.8  4.473  59
21.2  4.195  48
21.6  4.122  100
26.5  3.361  71
33.1  2.710  49